Computed XRD peak list
Compound: LiV2P3O12
Radiation: Cu Kα
Structure: a crystal structure in the Materials Project, relaxed with PBE+U
Intensities are scaled so that the largest is 100.

```
data_LiV2P3O12
_chemical_formula_sum 'Li2 V4 P6 O24'
_space_group_name_H-M_alt 'P 1'
_space_group_IT_number 1
_space_group_name_Hall 'P 1'
_cell_length_a 8.5994
_cell_length_b 8.5994
_cell_length_c 8.5491
_cell_angle_alpha 119.57
_cell_angle_beta 119.57
_cell_angle_gamma 59.99
loop_
_atom_site_label
_atom_site_fract_x
_atom_site_fract_y
_atom_site_fract_z
Li1 0.2077 0.7923 0.5000
Li2 0.7923 0.2077 0.0000
V1 0.1350 0.6299 0.0643
V2 0.4153 0.9148 0.9104
V3 0.6299 0.1350 0.5643
V4 0.9148 0.4153 0.4104
P1 0.0217 0.2361 0.7385
P2 0.2361 0.0217 0.2385
P3 0.3080 0.5241 0.7308
P4 0.5241 0.3080 0.2308
P5 0.7368 0.8113 0.7403
P6 0.8113 0.7368 0.2403
O1 0.0037 0.7200 0.2499
O2 0.0426 0.1872 0.2278
O3 0.0732 0.3977 0.9202
O4 0.1457 0.4728 0.5489
O5 0.1872 0.0426 0.7278
O6 0.2136 0.8540 0.2372
O7 0.2750 0.5724 0.9127
O8 0.2766 0.9721 0.0579
O9 0.3240 0.6938 0.7272
O10 0.3549 0.4981 0.2310
O11 0.3977 0.0732 0.4202
O12 0.4728 0.1457 0.0489
O13 0.4981 0.3549 0.7310
O14 0.5480 0.8330 0.7430
O15 0.5724 0.2750 0.4127
O16 0.6497 0.7683 0.0584
O17 0.6938 0.3240 0.2272
O18 0.7200 0.0037 0.7499
O19 0.7683 0.6497 0.5584
O20 0.7731 0.9026 0.4219
O21 0.8330 0.5480 0.2430
O22 0.8540 0.2136 0.7372
O23 0.9026 0.7731 0.9219
O24 0.9721 0.2766 0.5579
```

The 8 most intense peaks (2θ from 10° to 90°), sorted by position:
Position (°2θ)	I_rel
14.61	26.9
20.62	100.0
20.78	30.3
24.14	64.4
24.27	63.2
24.40	64.8
29.47	41.3
36.18	32.3